Diffraction record for Li2AcZnF8. The powder X-ray diffraction pattern is simulated, not measured: it uses DFT lattice parameters and positions (PBE) and Cu Kα.
Intensities are scaled so that the largest is 100.

Atomic structure:
```
Li2AcZnF8
1.0
5.681 0.000 0.000
-2.841 4.920 0.000
0.000 0.000 6.773
Li Ac Zn F
2 1 1 8
Direct
0.333 0.667 0.263
0.667 0.333 0.737
0.000 0.000 0.000
0.000 0.000 0.500
0.151 0.303 0.301
0.151 0.849 0.301
0.303 0.151 0.699
0.333 0.667 0.985
0.667 0.333 0.015
0.697 0.849 0.301
0.849 0.151 0.699
0.849 0.697 0.699
```

Top 10 peaks for 10° ≤ 2θ ≤ 80°, by angle:
- d = 6.773 Å, 2θ 13.07, intensity 16.2, (0 0 1)
- d = 4.920 Å, 2θ 18.03, intensity 100.0, (1 0 0)
- d = 3.981 Å, 2θ 22.33, intensity 19.2, (0 1 1)
- d = 2.841 Å, 2θ 31.50, intensity 26.8, (1 1 0)
- d = 2.790 Å, 2θ 32.09, intensity 34.5, (1 0 2)
- d = 2.619 Å, 2θ 34.23, intensity 18.2, (1 1 1)
- d = 2.176 Å, 2θ 41.49, intensity 32.8, (1 1 2)
- d = 1.990 Å, 2θ 45.58, intensity 22.0, (2 0 2)
- d = 1.860 Å, 2θ 48.98, intensity 11.7, (2 1 0)
- d = 1.630 Å, 2θ 56.45, intensity 18.3, (2 1 2)